Diffraction record for TbGe2Pd4. The PXRD pattern is simulated, not measured: it uses the GGA-PBE geometry in Alexandria and Cu Kα (λ = 1.5418 Å).
Peak positions follow from Bragg's law for the DFT cell and can differ from measured ones.

The 10 most intense peaks (10 to 80 degrees two-theta), sorted by position:
| 2theta | I_rel | index |
| --- | --- | --- |
| 34.51 | 12.2 | 1 1 2 |
| 35.72 | 100.0 | 2 1 2 |
| 36.27 | 56.5 | 5 1 1 |
| 37.97 | 27.8 | 6 1 0 |
| 39.12 | 31.1 | 7 0 1 |
| 42.75 | 42.9 | 0 2 0 |
| 43.42 | 18.7 | 3 0 3 |
| 59.32 | 18.2 | 7 2 1 |
| 68.34 | 17.6 | 9 1 3 |
| 69.37 | 13.5 | 12 1 0 |

Atomic structure:
```
data_TbGe2Pd4
_cell_length_a 17.1606
_cell_length_b 4.2306
_cell_length_c 6.7110
_cell_angle_alpha 90.00
_cell_angle_beta 90.00
_cell_angle_gamma 90.00
_symmetry_space_group_name_H-M 'P n m a'
_symmetry_Int_Tables_number 62
loop_
_symmetry_equiv_pos_as_xyz
'x,y,z'
'-x,-y,-z'
'-x+1/2,-y,z+1/2'
'x+1/2,y,-z+1/2'
'x+1/2,-y+1/2,-z+1/2'
'-x+1/2,y+1/2,z+1/2'
'-x,y+1/2,-z'
'x,-y+1/2,z'
loop_
_atom_site_label
_atom_site_type_symbol
_atom_site_fract_x
_atom_site_fract_y
_atom_site_fract_z
Tb1 Tb 0.1398 0.2500 0.0079
Ge1 Ge 0.0434 0.7500 0.2631
Ge2 Ge 0.2207 0.2500 0.5116
Pd1 Pd 0.0260 0.7500 0.8597
Pd2 Pd 0.0734 0.2500 0.5069
Pd3 Pd 0.1891 0.7500 0.7190
Pd4 Pd 0.1903 0.7500 0.3032
```

***

Diffraction record for Tb6PrHg2. The PXRD pattern is simulated, not measured: it uses the GGA-PBE geometry in Alexandria and Cu Kα (λ = 1.5418 Å).
Peak positions follow from Bragg's law for the DFT cell and can differ from measured ones.

The 10 most intense peaks (10 to 80 degrees two-theta), sorted by position:
| 2theta | I_rel | index |
| --- | --- | --- |
| 31.58 | 50.5 | 4 0 -3 |
| 31.66 | 49.0 | 2 0 3 |
| 32.62 | 96.1 | 3 1 0 |
| 32.75 | 100.0 | 1 1 -3 |
| 45.13 | 13.5 | 6 0 0 |
| 45.53 | 16.5 | 2 0 -6 |
| 48.44 | 19.3 | 0 2 0 |
| 56.87 | 25.8 | 5 1 3 |
| 57.12 | 30.3 | 1 1 6 |
| 59.01 | 34.6 | 2 2 3 |

Atomic structure:
```
data_Tb6PrHg2
_cell_length_a 12.7042
_cell_length_b 3.7584
_cell_length_c 11.9549
_cell_angle_alpha 90.00
_cell_angle_beta 108.42
_cell_angle_gamma 90.00
_symmetry_space_group_name_H-M 'C 1 2/m 1'
_symmetry_Int_Tables_number 12
loop_
_symmetry_equiv_pos_as_xyz
'x,y,z'
'-x,-y,-z'
'-x,y,-z'
'x,-y,z'
'x+1/2,y+1/2,z'
'-x+1/2,-y+1/2,-z'
'-x+1/2,y+1/2,-z'
'x+1/2,-y+1/2,z'
loop_
_atom_site_label
_atom_site_type_symbol
_atom_site_fract_x
_atom_site_fract_y
_atom_site_fract_z
Tb1 Tb 0.0151 0.0000 0.3396
Tb2 Tb 0.1875 0.5000 0.5831
Tb3 Tb 0.1885 0.5000 0.8749
Pr1 Pr 0.0000 0.0000 0.0000
Hg1 Hg 0.1494 0.5000 0.2172
```

***

Diffraction record for Hg2BS4. The PXRD pattern is simulated, not measured: it uses the GGA-PBE geometry in Alexandria and Cu Kα (λ = 1.5418 Å).
Peak positions follow from Bragg's law for the DFT cell and can differ from measured ones.

The 10 most intense peaks (10 to 80 degrees two-theta), sorted by position:
| 2theta | I_rel | index |
| --- | --- | --- |
| 19.48 | 93.7 | 1 1 0 |
| 19.74 | 62.6 | 0 0 1 |
| 27.68 | 32.4 | 2 0 0 |
| 27.87 | 100.0 | 1 1 1 |
| 34.23 | 58.0 | 2 0 1 |
| 44.45 | 35.3 | 3 1 0 |
| 44.58 | 31.0 | 2 2 1 |
| 44.96 | 29.9 | 1 1 2 |
| 49.08 | 42.7 | 3 1 1 |
| 49.43 | 30.4 | 2 0 2 |

Atomic structure:
```
data_Hg2BS4
_cell_length_a 6.4449
_cell_length_b 6.4449
_cell_length_c 4.4966
_cell_angle_alpha 90.00
_cell_angle_beta 90.00
_cell_angle_gamma 90.00
_symmetry_space_group_name_H-M 'P -4 2 m'
_symmetry_Int_Tables_number 111
loop_
_symmetry_equiv_pos_as_xyz
'x,y,z'
'y,-x,-z'
'-x,-y,z'
'-y,x,-z'
'x,-y,-z'
'y,x,z'
'-x,y,-z'
'-y,-x,z'
loop_
_atom_site_label
_atom_site_type_symbol
_atom_site_fract_x
_atom_site_fract_y
_atom_site_fract_z
Hg1 Hg 0.0000 0.5000 0.0000
B1 B 0.0000 0.0000 0.0000
S1 S 0.1787 0.1787 0.2341
```

***

Diffraction record for Al2VNi6. The PXRD pattern is simulated, not measured: it uses the GGA-PBE geometry in Alexandria and Cu Kα (λ = 1.5418 Å).
Peak positions follow from Bragg's law for the DFT cell and can differ from measured ones.

The 10 most intense peaks (10 to 80 degrees two-theta), sorted by position:
| 2theta | I_rel | index |
| --- | --- | --- |
| 26.35 | 27.4 | 0 2 0 |
| 38.23 | 34.5 | 1 1 -1 |
| 38.43 | 25.8 | 1 1 1 |
| 43.16 | 58.6 | 6 0 0 |
| 45.43 | 16.1 | 4 0 -1 |
| 45.68 | 100.0 | 3 3 0 |
| 46.68 | 26.5 | 2 2 -1 |
| 47.01 | 25.2 | 2 2 1 |
| 53.26 | 26.9 | 4 2 -1 |
| 53.88 | 17.4 | 4 2 1 |

Atomic structure:
```
data_Al2VNi6
_cell_length_a 12.5763
_cell_length_b 6.7656
_cell_length_c 2.5549
_cell_angle_alpha 90.00
_cell_angle_beta 90.82
_cell_angle_gamma 90.00
_symmetry_space_group_name_H-M 'C 1 2/m 1'
_symmetry_Int_Tables_number 12
loop_
_symmetry_equiv_pos_as_xyz
'x,y,z'
'-x,-y,-z'
'-x,y,-z'
'x,-y,z'
'x+1/2,y+1/2,z'
'-x+1/2,-y+1/2,-z'
'-x+1/2,y+1/2,-z'
'x+1/2,-y+1/2,z'
loop_
_atom_site_label
_atom_site_type_symbol
_atom_site_fract_x
_atom_site_fract_y
_atom_site_fract_z
Al1 Al 0.1906 0.0000 0.4954
V1 V 0.0000 0.5000 0.0000
Ni1 Ni 0.0000 0.1798 0.5000
Ni2 Ni 0.1582 0.3136 0.9993
```

***

Diffraction record for RbSb4Pb. The PXRD pattern is simulated, not measured: it uses the GGA-PBE geometry in Alexandria and Cu Kα (λ = 1.5418 Å).
Peak positions follow from Bragg's law for the DFT cell and can differ from measured ones.

The 10 most intense peaks (10 to 80 degrees two-theta), sorted by position:
| 2theta | I_rel | index |
| --- | --- | --- |
| 12.35 | 49.5 | 0 1 1 |
| 24.85 | 56.2 | 0 2 2 |
| 28.70 | 100.0 | 1 1 2 |
| 33.62 | 31.2 | 1 0 3 |
| 34.18 | 71.8 | 1 3 0 |
| 37.65 | 22.5 | 0 3 3 |
| 40.09 | 24.8 | 0 4 2 |
| 42.57 | 19.8 | 2 0 0 |
| 49.69 | 18.4 | 1 3 4 |
| 49.92 | 18.5 | 2 2 2 |

Atomic structure:
```
data_RbSb4Pb
_cell_length_a 4.2476
_cell_length_b 10.0065
_cell_length_c 10.2703
_cell_angle_alpha 90.00
_cell_angle_beta 90.00
_cell_angle_gamma 90.00
_symmetry_space_group_name_H-M 'I m m m'
_symmetry_Int_Tables_number 71
_symmetry_space_group_name_Hall '-I 2 2'
loop_
_atom_site_label
_atom_site_type_symbol
_atom_site_fract_x
_atom_site_fract_y
_atom_site_fract_z
Rb1 Rb 0.0000 0.0000 0.0000
Sb1 Sb 0.0000 0.3421 0.2025
Pb1 Pb 0.0000 0.0000 0.5000
```

***

Diffraction record for CeMgSb2. The PXRD pattern is simulated, not measured: it uses the GGA-PBE geometry in Alexandria and Cu Kα (λ = 1.5418 Å).
Peak positions follow from Bragg's law for the DFT cell and can differ from measured ones.

The 10 most intense peaks (10 to 80 degrees two-theta), sorted by position:
| 2theta | I_rel | index |
| --- | --- | --- |
| 25.85 | 30.2 | 1 0 2 |
| 29.66 | 15.1 | 1 1 1 |
| 32.64 | 10.8 | 0 0 4 |
| 32.92 | 100.0 | 1 1 2 |
| 38.60 | 23.3 | 1 0 4 |
| 40.74 | 36.5 | 2 0 0 |
| 53.14 | 10.6 | 2 0 4 |
| 57.37 | 14.5 | 2 1 4 |
| 58.97 | 12.1 | 2 2 0 |
| 69.22 | 22.6 | 3 1 2 |

Atomic structure:
```
data_CeMgSb2
_cell_length_a 4.4299
_cell_length_b 4.4299
_cell_length_c 10.9743
_cell_angle_alpha 90.00
_cell_angle_beta 90.00
_cell_angle_gamma 90.00
_symmetry_space_group_name_H-M 'P 4/n m m'
_symmetry_Int_Tables_number 129
loop_
_symmetry_equiv_pos_as_xyz
'x,y,z'
'-x,-y,-z'
'-y+1/2,x,z'
'y+1/2,-x,-z'
'-x+1/2,-y+1/2,z'
'x+1/2,y+1/2,-z'
'y,-x+1/2,z'
'-y,x+1/2,-z'
'x+1/2,-y,-z'
'-x+1/2,y,z'
'-y,-x,-z'
'y,x,z'
'-x,y+1/2,-z'
'x,-y+1/2,z'
'y+1/2,x+1/2,-z'
'-y+1/2,-x+1/2,z'
loop_
_atom_site_label
_atom_site_type_symbol
_atom_site_fract_x
_atom_site_fract_y
_atom_site_fract_z
Ce1 Ce 0.2500 0.2500 0.2206
Mg1 Mg 0.2500 0.7500 0.5000
Sb1 Sb 0.2500 0.2500 0.6810
Sb2 Sb 0.2500 0.7500 0.0000
```

***

Diffraction record for LaPmAg2. The PXRD pattern is simulated, not measured: it uses the GGA-PBE geometry in Alexandria and Cu Kα (λ = 1.5418 Å).
Peak positions follow from Bragg's law for the DFT cell and can differ from measured ones.

The 7 most intense peaks (10 to 80 degrees two-theta), sorted by position:
| 2theta | I_rel | index |
| --- | --- | --- |
| 23.53 | 1.6 | 2 0 0 |
| 33.51 | 100.0 | 2 2 0 |
| 41.35 | 0.5 | 2 2 2 |
| 48.12 | 17.8 | 4 0 0 |
| 54.24 | 0.8 | 4 2 0 |
| 59.91 | 36.2 | 4 2 2 |
| 70.42 | 11.1 | 4 4 0 |

Atomic structure:
```
data_LaPmAg2
_cell_length_a 7.5634
_cell_length_b 7.5634
_cell_length_c 7.5634
_cell_angle_alpha 90.00
_cell_angle_beta 90.00
_cell_angle_gamma 90.00
_symmetry_space_group_name_H-M 'F m -3 m'
_symmetry_Int_Tables_number 225
_symmetry_space_group_name_Hall '-F 4 2 3'
loop_
_atom_site_label
_atom_site_type_symbol
_atom_site_fract_x
_atom_site_fract_y
_atom_site_fract_z
La1 La 0.0000 0.0000 0.0000
Pm1 Pm 0.0000 0.0000 0.5000
Ag1 Ag 0.2500 0.2500 0.2500
```

***

Diffraction record for MnNbCoHSe. The PXRD pattern is simulated, not measured: it uses the GGA-PBE geometry in Alexandria and Cu Kα (λ = 1.5418 Å).
Peak positions follow from Bragg's law for the DFT cell and can differ from measured ones.

The 10 most intense peaks (10 to 80 degrees two-theta), sorted by position:
| 2theta | I_rel | index |
| --- | --- | --- |
| 28.73 | 40.2 | 0 1 1 |
| 34.41 | 69.9 | 0 0 2 |
| 35.95 | 38.3 | 1 0 1 |
| 37.65 | 100.0 | -1 1 1 |
| 38.48 | 58.5 | 1 -1 1 |
| 40.85 | 62.6 | 0 1 -2 |
| 44.90 | 44.1 | 1 1 -1 |
| 45.80 | 47.0 | 0 2 0 |
| 46.77 | 35.2 | 1 1 1 |
| 52.80 | 36.6 | 1 -2 1 |

Atomic structure:
```
data_MnNbCoHSe
_cell_length_a 3.0064
_cell_length_b 4.0637
_cell_length_c 5.2190
_cell_angle_alpha 91.17
_cell_angle_beta 92.65
_cell_angle_gamma 102.71
_symmetry_space_group_name_H-M 'P 1'
_symmetry_Int_Tables_number 1
loop_
_symmetry_equiv_pos_as_xyz
'x,y,z'
loop_
_atom_site_label
_atom_site_type_symbol
_atom_site_fract_x
_atom_site_fract_y
_atom_site_fract_z
Mn1 Mn 0.0000 0.0000 0.0000
Nb1 Nb 0.4950 0.4579 0.2366
Co1 Co 0.1605 0.5343 0.7189
H1 H 0.0655 0.8105 0.2661
Se1 Se 0.5112 0.0955 0.6583
```

***

Diffraction record for Ba2CaCd12Hg3. The PXRD pattern is simulated, not measured: it uses the GGA-PBE geometry in Alexandria and Cu Kα (λ = 1.5418 Å).
Peak positions follow from Bragg's law for the DFT cell and can differ from measured ones.

The 10 most intense peaks (10 to 80 degrees two-theta), sorted by position:
| 2theta | I_rel | index |
| --- | --- | --- |
| 16.86 | 11.9 | 1 1 0 |
| 20.04 | 57.6 | 0 2 1 |
| 27.92 | 20.1 | 0 0 6 |
| 32.79 | 18.3 | 1 1 6 |
| 34.10 | 100.0 | 2 2 0 |
| 38.34 | 29.3 | 0 2 7 |
| 44.62 | 32.6 | 2 2 6 |
| 52.23 | 12.1 | 4 0 7 |
| 61.04 | 16.3 | 6 0 0 |
| 63.86 | 13.0 | 2 4 7 |

Atomic structure:
```
data_Ba2CaCd12Hg3
_cell_length_a 10.5183
_cell_length_b 10.5183
_cell_length_c 19.1769
_cell_angle_alpha 90.00
_cell_angle_beta 90.00
_cell_angle_gamma 120.00
_symmetry_space_group_name_H-M 'R -3 m'
_symmetry_Int_Tables_number 166
_symmetry_space_group_name_Hall '-R 3 2"'
loop_
_atom_site_label
_atom_site_type_symbol
_atom_site_fract_x
_atom_site_fract_y
_atom_site_fract_z
Ba1 Ba 0.0000 0.0000 0.1019
Ca1 Ca 0.0000 0.0000 0.5000
Cd1 Cd 0.0053 0.5026 0.8520
Cd2 Cd 0.0179 0.5090 0.3100
Hg1 Hg 0.0000 0.5000 0.0000
```

***

Diffraction record for BaCuSn. The PXRD pattern is simulated, not measured: it uses the GGA-PBE geometry in Alexandria and Cu Kα (λ = 1.5418 Å).
Peak positions follow from Bragg's law for the DFT cell and can differ from measured ones.

The 10 most intense peaks (10 to 80 degrees two-theta), sorted by position:
| 2theta | I_rel | index |
| --- | --- | --- |
| 27.76 | 100.0 | 1 1 1 |
| 31.05 | 17.6 | 0 1 2 |
| 33.73 | 29.4 | 0 2 0 |
| 35.99 | 24.5 | 2 0 0 |
| 43.10 | 10.5 | 0 1 3 |
| 44.92 | 14.7 | 2 0 2 |
| 56.76 | 13.9 | 1 3 1 |
| 57.33 | 14.3 | 2 2 2 |
| 59.76 | 11.7 | 3 1 1 |
| 68.76 | 11.7 | 2 1 4 |

Atomic structure:
```
data_BaCuSn
_cell_length_a 4.9936
_cell_length_b 5.3142
_cell_length_c 6.8530
_cell_angle_alpha 90.00
_cell_angle_beta 90.00
_cell_angle_gamma 90.00
_symmetry_space_group_name_H-M 'P m m a'
_symmetry_Int_Tables_number 51
loop_
_symmetry_equiv_pos_as_xyz
'x,y,z'
'-x,-y,-z'
'-x+1/2,-y,z'
'x+1/2,y,-z'
'x+1/2,-y,-z'
'-x+1/2,y,z'
'-x,y,-z'
'x,-y,z'
loop_
_atom_site_label
_atom_site_type_symbol
_atom_site_fract_x
_atom_site_fract_y
_atom_site_fract_z
Ba1 Ba 0.2500 0.0000 0.2393
Cu1 Cu 0.0000 0.5000 0.5000
Sn1 Sn 0.2500 0.5000 0.8468
```

***

Diffraction record for LiTlInSb. The PXRD pattern is simulated, not measured: it uses the GGA-PBE geometry in Alexandria and Cu Kα (λ = 1.5418 Å).
Peak positions follow from Bragg's law for the DFT cell and can differ from measured ones.

The 10 most intense peaks (10 to 80 degrees two-theta), sorted by position:
| 2theta | I_rel | index |
| --- | --- | --- |
| 20.44 | 21.8 | 1 1 1 |
| 23.65 | 24.4 | 2 0 0 |
| 33.69 | 100.0 | 2 2 0 |
| 39.73 | 12.2 | 3 1 1 |
| 41.58 | 7.6 | 2 2 2 |
| 48.39 | 18.0 | 4 0 0 |
| 53.05 | 5.3 | 3 3 1 |
| 54.54 | 10.5 | 4 2 0 |
| 60.25 | 37.2 | 4 2 2 |
| 70.84 | 11.5 | 4 4 0 |

Atomic structure:
```
data_LiTlInSb
_cell_length_a 7.5246
_cell_length_b 7.5246
_cell_length_c 7.5246
_cell_angle_alpha 90.00
_cell_angle_beta 90.00
_cell_angle_gamma 90.00
_symmetry_space_group_name_H-M 'F -4 3 m'
_symmetry_Int_Tables_number 216
_symmetry_space_group_name_Hall 'F -4 2 3'
loop_
_atom_site_label
_atom_site_type_symbol
_atom_site_fract_x
_atom_site_fract_y
_atom_site_fract_z
Li1 Li 0.0000 0.0000 0.0000
Tl1 Tl 0.2500 0.2500 0.2500
In1 In 0.0000 0.0000 0.5000
Sb1 Sb 0.2500 0.2500 0.7500
```

***

Diffraction record for Sr6CoC2N7. The PXRD pattern is simulated, not measured: it uses the GGA-PBE geometry in Alexandria and Cu Kα (λ = 1.5418 Å).
Peak positions follow from Bragg's law for the DFT cell and can differ from measured ones.

The 10 most intense peaks (10 to 80 degrees two-theta), sorted by position:
| 2theta | I_rel | index |
| --- | --- | --- |
| 12.00 | 23.7 | 0 2 0 |
| 29.23 | 24.9 | 2 0 1 |
| 29.64 | 97.6 | 3 2 0 |
| 29.86 | 36.6 | 2 1 1 |
| 30.69 | 100.0 | 1 3 1 |
| 31.67 | 65.9 | 1 5 0 |
| 34.75 | 66.7 | 1 4 1 |
| 37.72 | 20.3 | 1 6 0 |
| 46.81 | 31.9 | 0 0 2 |
| 56.36 | 19.8 | 3 2 2 |

Atomic structure:
```
data_Sr6CoC2N7
_cell_length_a 9.9068
_cell_length_b 14.7512
_cell_length_c 3.8836
_cell_angle_alpha 90.00
_cell_angle_beta 90.00
_cell_angle_gamma 90.00
_symmetry_space_group_name_H-M 'P 21 21 2'
_symmetry_Int_Tables_number 18
loop_
_symmetry_equiv_pos_as_xyz
'x,y,z'
'-x,-y,z'
'x+1/2,-y+1/2,-z'
'-x+1/2,y+1/2,-z'
loop_
_atom_site_label
_atom_site_type_symbol
_atom_site_fract_x
_atom_site_fract_y
_atom_site_fract_z
Sr1 Sr 0.0712 0.1101 0.0592
Sr2 Sr 0.0923 0.6617 0.5057
Sr3 Sr 0.2463 0.9415 0.5622
Co1 Co 0.0000 0.5000 0.9762
C1 C 0.2294 0.2789 0.8122
N1 N 0.0000 0.0000 0.5660
N2 N 0.1350 0.2501 0.6330
N3 N 0.1656 0.5525 0.9715
N4 N 0.1683 0.8064 0.0347
```

***

Diffraction record for ErAlRuRh. The PXRD pattern is simulated, not measured: it uses the GGA-PBE geometry in Alexandria and Cu Kα (λ = 1.5418 Å).
Peak positions follow from Bragg's law for the DFT cell and can differ from measured ones.

The 7 most intense peaks (10 to 80 degrees two-theta), sorted by position:
| 2theta | I_rel | index |
| --- | --- | --- |
| 24.10 | 29.1 | 1 1 1 |
| 39.86 | 100.0 | 2 2 0 |
| 47.12 | 15.0 | 3 1 1 |
| 57.64 | 16.8 | 4 0 0 |
| 63.38 | 6.2 | 3 3 1 |
| 72.37 | 33.9 | 4 2 2 |
| 77.54 | 4.7 | 5 1 1 |

Atomic structure:
```
data_ErAlRuRh
_cell_length_a 6.3972
_cell_length_b 6.3972
_cell_length_c 6.3972
_cell_angle_alpha 90.00
_cell_angle_beta 90.00
_cell_angle_gamma 90.00
_symmetry_space_group_name_H-M 'F -4 3 m'
_symmetry_Int_Tables_number 216
_symmetry_space_group_name_Hall 'F -4 2 3'
loop_
_atom_site_label
_atom_site_type_symbol
_atom_site_fract_x
_atom_site_fract_y
_atom_site_fract_z
Er1 Er 0.0000 0.0000 0.0000
Al1 Al 0.0000 0.0000 0.5000
Ru1 Ru 0.2500 0.2500 0.2500
Rh1 Rh 0.2500 0.2500 0.7500
```